Diffraction record for BaH4O6. The X-ray diffraction stick pattern is computed, not measured: it uses DFT lattice parameters and positions (GGA-PBE) and λ = 1.5418 Å (Cu Kα).

Structure:
```
data_BaH4O6
_chemical_formula_sum 'Ba2 H8 O12'
_space_group_name_H-M_alt 'P 1'
_space_group_IT_number 1
_space_group_name_Hall 'P 1'
_cell_length_a 5.2496
_cell_length_b 6.0494
_cell_length_c 8.6901
_cell_angle_alpha 82.10
_cell_angle_beta 86.98
_cell_angle_gamma 69.95
loop_
_atom_site_label
_atom_site_type_symbol
_atom_site_fract_x
_atom_site_fract_y
_atom_site_fract_z
_atom_site_occupancy
Ba1 Ba 0.0000 0.0000 0.0000 1
Ba2 Ba 0.3145 0.6425 0.5777 1
H1 H 0.0021 0.2045 0.6344 1
H2 H 0.4035 0.3476 0.1459 1
H3 H 0.5052 0.0994 0.7336 1
H4 H 0.5705 0.1405 0.2787 1
H5 H 0.7211 0.3903 0.3206 1
H6 H 0.8025 0.4937 0.8173 1
H7 H 0.8231 0.5961 0.3480 1
H8 H 0.8786 0.5694 0.0581 1
O1 O 0.0034 0.6104 0.8480 1
O2 O 0.0607 0.4906 0.0110 1
O3 O 0.1989 0.1660 0.5924 1
O4 O 0.3549 0.0238 0.7322 1
O5 O 0.4305 0.8492 0.1996 1
O6 O 0.5606 0.8054 0.0639 1
O7 O 0.5813 0.2674 0.1954 1
O8 O 0.6501 0.4148 0.8288 1
O9 O 0.7231 0.2270 0.7226 1
O10 O 0.7833 0.9264 0.4334 1
O11 O 0.7908 0.4541 0.4019 1
O12 O 0.9741 0.8296 0.3271 1
```

The 8 most intense peaks (2θ = 10–80°), low angle first:
- 17.7 deg, I 58.6, (0 1 1)
- 19.5 deg, I 63.4, (1 1 0)
- 20.7 deg, I 100.0, (1 0 1)
- 27.6 deg, I 63.8, (1 0 -2)
- 31.1 deg, I 58.4, (1 2 1)
- 32.1 deg, I 33.0, (0 2 1)
- 36.1 deg, I 58.8, (1 0 3)
- 42.0 deg, I 36.9, (1 -2 0)